Structure and calculated powder XRD pattern of BaNa2NiO4 (DFT lattice parameters and positions (GGA+U); Cu Kα X-rays).
Kinematic intensities with the Lorentz-polarization factor, no thermal factor.

Atomic structure:
```
data_BaNa2NiO4
_space_group_name_H-M_alt 'P 1'
_space_group_IT_number 1
_cell_length_a 5.484
_cell_length_b 5.484
_cell_length_c 5.484
_cell_angle_alpha 115.44
_cell_angle_beta 115.44
_cell_angle_gamma 98.11
loop_
_space_group_symop_operation_xyz
'x,y,z'
loop_
_atom_site_label
_atom_site_fract_x
_atom_site_fract_y
_atom_site_fract_z
Ba1 0.000 0.000 0.000
Na1 0.250 0.750 0.500
Na2 0.500 0.500 0.000
Ni1 0.750 0.250 0.500
O1 0.530 0.030 0.060
O2 0.530 0.470 0.500
O3 0.970 0.030 0.500
O4 0.970 0.470 0.940
```

Main lines, in order of rising 2θ (10 to 90 degrees two-theta):
2theta, I/Imax
19.55, 86
30.52, 33
33.00, 100
36.51, 30
39.70, 15
43.71, 33
55.84, 41
69.23, 15